No. 1
# Li9Co7O16
Calculated X-ray powder pattern, Cu Kα. Input: a cell relaxed with PBE+U.
Neutral-atom scattering factors, no anomalous dispersion.

Most intense lines, 5 to 70 degrees two-theta, in order of falling intensity:
- 18.71 deg, intensity 100
- 44.84 deg, intensity 49
- 44.34 deg, intensity 26
- 37.04 deg, intensity 25
- 65.35 deg, intensity 13
- 64.44 deg, intensity 13
- 36.76 deg, intensity 13
- 38.60 deg, intensity 11
- 7.78 deg, intensity 10
- 59.05 deg, intensity 10

Atomic structure:
a b c (Å): 4.955 11.368 5.039
angles (deg): 90.00 109.73 90.00
Element x y z (fractional)
1 Li 0.000 0.000 0.000
2 Li 0.000 0.116 0.500
3 Li 0.000 0.374 0.500
4 Li 0.000 0.626 0.500
5 Li 0.000 0.884 0.500
6 Li 0.500 0.000 0.500
7 Li 0.500 0.249 0.500
8 Li 0.500 0.500 0.500
9 Li 0.500 0.751 0.500
10 Co 0.000 0.246 0.000
11 Co 0.000 0.500 0.000
12 Co 0.000 0.754 0.000
13 Co 0.500 0.124 0.000
14 Co 0.500 0.375 0.000
15 Co 0.500 0.625 0.000
16 Co 0.500 0.876 0.000
17 O 0.240 0.374 0.212
18 O 0.240 0.626 0.212
19 O 0.247 0.136 0.219
20 O 0.247 0.864 0.219
21 O 0.256 0.251 0.782
22 O 0.256 0.749 0.782
23 O 0.275 0.500 0.768
24 O 0.280 0.000 0.770
25 O 0.720 0.000 0.230
26 O 0.725 0.500 0.232
27 O 0.744 0.251 0.218
28 O 0.744 0.749 0.218
29 O 0.753 0.136 0.781
30 O 0.753 0.864 0.781
31 O 0.760 0.374 0.788
32 O 0.760 0.626 0.788

=====

No. 2
# Fe3OF5
Calculated X-ray powder pattern, Cu Kα. Input: a cell relaxed with PBE+U.
Neutral-atom scattering factors, no anomalous dispersion.

Most intense lines, 5 to 70 degrees two-theta, in order of falling intensity:
- 25.98 deg, intensity 100
- 26.61 deg, intensity 95
- 50.65 deg, intensity 69
- 33.22 deg, intensity 58
- 33.32 deg, intensity 56
- 51.48 deg, intensity 29
- 51.27 deg, intensity 28
- 65.12 deg, intensity 23
- 64.94 deg, intensity 22
- 56.54 deg, intensity 21

Atomic structure:
a b c (Å): 5.787 5.787 7.462
angles (deg): 105.86 105.86 72.69
Element x y z (fractional)
1 Fe 0.000 0.000 0.000
2 Fe 0.004 0.004 0.502
3 Fe 0.325 0.325 0.359
4 Fe 0.343 0.343 0.822
5 Fe 0.658 0.658 0.155
6 Fe 0.664 0.664 0.681
7 O 0.230 0.230 0.533
8 O 0.578 0.578 0.894
9 F 0.036 0.637 0.839
10 F 0.103 0.103 0.806
11 F 0.294 0.686 0.491
12 F 0.372 0.976 0.181
13 F 0.441 0.441 0.159
14 F 0.637 0.036 0.839
15 F 0.686 0.294 0.491
16 F 0.754 0.754 0.453
17 F 0.887 0.887 0.196
18 F 0.976 0.372 0.181

=====

No. 3
# Cu3Mo2H2O10
Calculated X-ray powder pattern, Cu Kα. Input: a cell relaxed with PBE+U.
Neutral-atom scattering factors, no anomalous dispersion.

Most intense lines, 5 to 70 degrees two-theta, in order of falling intensity:
- 24.96 deg, intensity 100
- 33.04 deg, intensity 40
- 21.17 deg, intensity 34
- 20.06 deg, intensity 24
- 25.08 deg, intensity 21
- 35.36 deg, intensity 20
- 32.24 deg, intensity 16
- 31.60 deg, intensity 15
- 38.24 deg, intensity 15
- 37.08 deg, intensity 14

Atomic structure:
a b c (Å): 5.470 14.205 7.380
angles (deg): 90.00 129.90 90.00
Element x y z (fractional)
1 Cu 0.000 0.000 0.000
2 Cu 0.000 0.500 0.500
3 Cu 0.378 0.096 0.511
4 Cu 0.378 0.404 0.011
5 Cu 0.622 0.596 0.989
6 Cu 0.622 0.904 0.489
7 Mo 0.421 0.654 0.378
8 Mo 0.421 0.846 0.878
9 Mo 0.579 0.154 0.122
10 Mo 0.579 0.346 0.622
11 H 0.069 0.558 0.860
12 H 0.069 0.942 0.360
13 H 0.931 0.058 0.640
14 H 0.931 0.442 0.140
15 O 0.039 0.628 0.091
16 O 0.039 0.872 0.591
17 O 0.209 0.527 0.838
18 O 0.209 0.973 0.338
19 O 0.262 0.113 0.118
20 O 0.262 0.387 0.618
21 O 0.447 0.592 0.598
22 O 0.447 0.908 0.098
23 O 0.455 0.722 0.936
24 O 0.455 0.778 0.436
25 O 0.545 0.222 0.564
26 O 0.545 0.278 0.064
27 O 0.553 0.092 0.902
28 O 0.553 0.408 0.402
29 O 0.738 0.613 0.382
30 O 0.738 0.887 0.882
31 O 0.791 0.027 0.662
32 O 0.791 0.473 0.162
33 O 0.961 0.128 0.409
34 O 0.961 0.372 0.909

=====

Number 2 is which compound?
Fe3OF5